(1)
Er2Re2Si2C: theoretical powder diffractogram (Cu Kα (λ = 1.5418 Å)), based on a crystal structure in the Materials Project, relaxed with PBE.
Peak positions follow from Bragg's law for the DFT cell and can differ from measured ones.

Cell and atoms:
Cell lengths 5.8003, 5.8003, 6.8846 Å; angles 124.81, 124.81, 40.11 degrees
Positions (direct):
Er1 0.0720 0.0720 0.2988
Er2 0.9280 0.9280 0.7012
Re1 0.2923 0.2923 0.9061
Re2 0.7077 0.7077 0.0939
Si1 0.3587 0.3587 0.3209
Si2 0.6413 0.6413 0.6791
C1 0.5000 0.5000 0.0000

Peak list (10 most intense, 10 to 90 degrees two-theta, by angle)
16.21°, 5.467 Å, I = 25; 25.88°, 3.443 Å, I = 24; 33.31°, 2.689 Å, I = 44; 33.50°, 2.675 Å, I = 96; 35.80°, 2.508 Å, I = 100; 38.55°, 2.335 Å, I = 22; 41.01°, 2.201 Å, I = 29; 45.61°, 1.989 Å, I = 30; 57.64°, 1.599 Å, I = 19; 58.13°, 1.587 Å, I = 21

---

(2)
Ni2Mo3N: theoretical powder diffractogram (Cu Kα (λ = 1.5418 Å)), based on a crystal structure in the Materials Project, relaxed with PBE.
Peak positions follow from Bragg's law for the DFT cell and can differ from measured ones.

Cell and atoms:
Cell lengths 6.6601, 6.6601, 6.6601 Å; angles 90.00, 90.00, 90.00 degrees
Positions (direct):
Ni1 0.0664 0.0664 0.0664
Ni2 0.1836 0.8164 0.3164
Ni3 0.3164 0.1836 0.8164
Ni4 0.4336 0.9336 0.5664
Ni5 0.5664 0.4336 0.9336
Ni6 0.6836 0.6836 0.6836
Ni7 0.8164 0.3164 0.1836
Ni8 0.9336 0.5664 0.4336
Mo1 0.0493 0.8750 0.7007
Mo2 0.1250 0.2007 0.4507
Mo3 0.2007 0.4507 0.1250
Mo4 0.2993 0.5493 0.6250
Mo5 0.3750 0.7993 0.9507
Mo6 0.4507 0.1250 0.2007
Mo7 0.5493 0.6250 0.2993
Mo8 0.6250 0.2993 0.5493
Mo9 0.7007 0.0493 0.8750
Mo10 0.7993 0.9507 0.3750
Mo11 0.8750 0.7007 0.0493
Mo12 0.9507 0.3750 0.7993
N1 0.1250 0.6250 0.8750
N2 0.3750 0.3750 0.3750
N3 0.6250 0.8750 0.1250
N4 0.8750 0.1250 0.6250

Peak list (10 most intense, 10 to 90 degrees two-theta, by angle)
30.00°, 2.979 Å, I = 6; 40.64°, 2.220 Å, I = 100; 42.94°, 2.106 Å, I = 56; 45.15°, 2.008 Å, I = 27; 58.82°, 1.570 Å, I = 8; 62.35°, 1.489 Å, I = 7; 72.35°, 1.306 Å, I = 24; 77.12°, 1.237 Å, I = 20; 86.44°, 1.126 Å, I = 7; 87.98°, 1.110 Å, I = 7

---

(3)
DyNi4B: theoretical powder diffractogram (Cu Kα (λ = 1.5418 Å)), based on a crystal structure in the Materials Project, relaxed with PBE.
Peak positions follow from Bragg's law for the DFT cell and can differ from measured ones.

Cell and atoms:
Cell lengths 4.9923, 4.9923, 6.9560 Å; angles 90.00, 90.00, 120.15 degrees
Positions (direct):
Dy1 0.0000 0.0000 0.0000
Dy2 0.0000 0.0000 0.5000
Ni1 0.0000 0.5000 0.2926
Ni2 0.0000 0.5000 0.7074
Ni3 0.3333 0.6667 0.0000
Ni4 0.5000 0.0000 0.2926
Ni5 0.5000 0.0000 0.7074
Ni6 0.5000 0.5000 0.2929
Ni7 0.5000 0.5000 0.7071
Ni8 0.6667 0.3333 0.0000
B1 0.3333 0.6667 0.5000
B2 0.6667 0.3333 0.5000

Peak list (10 most intense, 10 to 90 degrees two-theta, by angle)
33.07°, 2.709 Å, I = 90; 36.01°, 2.494 Å, I = 31; 41.75°, 2.163 Å, I = 25; 41.85°, 2.158 Å, I = 49; 44.71°, 2.027 Å, I = 100; 62.83°, 1.479 Å, I = 19; 65.43°, 1.427 Å, I = 15; 69.38°, 1.355 Å, I = 15; 70.87°, 1.330 Å, I = 16; 76.29°, 1.248 Å, I = 14

---

(4)
LiCeSn2: theoretical powder diffractogram (Cu Kα (λ = 1.5418 Å)), based on a crystal structure in the Materials Project, relaxed with PBE.
Peak positions follow from Bragg's law for the DFT cell and can differ from measured ones.

Cell and atoms:
Cell lengths 9.7616, 9.7616, 4.5810 Å; angles 90.00, 90.00, 153.15 degrees
Positions (direct):
Li1 0.1766 0.8234 0.7500
Li2 0.8234 0.1766 0.2500
Ce1 0.3937 0.6063 0.7500
Ce2 0.6063 0.3937 0.2500
Sn1 0.0442 0.9558 0.7500
Sn2 0.2496 0.7504 0.2500
Sn3 0.7504 0.2496 0.7500
Sn4 0.9558 0.0442 0.2500

Peak list (10 most intense, 10 to 90 degrees two-theta, by angle)
24.15°, 3.685 Å, I = 15; 28.20°, 3.165 Å, I = 14; 30.71°, 2.911 Å, I = 12; 31.15°, 2.871 Å, I = 100; 34.44°, 2.604 Å, I = 17; 39.34°, 2.290 Å, I = 18; 39.77°, 2.266 Å, I = 17; 57.16°, 1.611 Å, I = 15; 66.25°, 1.411 Å, I = 12; 66.86°, 1.399 Å, I = 12

---

(5)
Hg2CN3Cl5: theoretical powder diffractogram (Cu Kα (λ = 1.5418 Å)), based on a crystal structure in the Materials Project, relaxed with PBE.
Peak positions follow from Bragg's law for the DFT cell and can differ from measured ones.

Cell and atoms:
Cell lengths 7.6014, 7.6014, 18.6728 Å; angles 90.00, 90.00, 147.94 degrees
Positions (direct):
Hg1 0.0027 0.7359 0.9618
Hg2 0.2641 0.9973 0.5382
Hg3 0.7359 0.0027 0.0382
Hg4 0.9973 0.2641 0.4618
C1 0.3844 0.6156 0.7500
C2 0.6156 0.3844 0.2500
N1 0.2919 0.7081 0.7500
N2 0.3176 0.4568 0.8081
N3 0.4568 0.3176 0.1919
N4 0.5432 0.6824 0.6919
N5 0.6824 0.5432 0.3081
N6 0.7081 0.2919 0.2500
Cl1 0.0397 0.2443 0.3387
Cl2 0.0833 0.6849 0.0777
Cl3 0.2443 0.0397 0.6613
Cl4 0.3151 0.9167 0.4223
Cl5 0.3746 0.3746 0.0000
Cl6 0.6254 0.6254 0.5000
Cl7 0.6849 0.0833 0.9223
Cl8 0.7557 0.9603 0.1613
Cl9 0.9167 0.3151 0.5777
Cl10 0.9603 0.7557 0.8387

Peak list (10 most intense, 10 to 90 degrees two-theta, by angle)
18.73°, 4.738 Å, I = 84; 22.54°, 3.944 Å, I = 75; 24.03°, 3.704 Å, I = 49; 24.37°, 3.653 Å, I = 57; 28.06°, 3.180 Å, I = 44; 28.47°, 3.135 Å, I = 100; 29.68°, 3.010 Å, I = 78; 35.84°, 2.506 Å, I = 55; 43.38°, 2.086 Å, I = 43; 44.89°, 2.019 Å, I = 40

---

(6)
CrNiSb2: theoretical powder diffractogram (Cu Kα (λ = 1.5418 Å)), based on a crystal structure in the Materials Project, relaxed with PBE.
Peak positions follow from Bragg's law for the DFT cell and can differ from measured ones.

Cell and atoms:
Cell lengths 4.0272, 4.0272, 5.4441 Å; angles 90.00, 90.00, 120.00 degrees
Positions (direct):
Cr1 0.0000 0.0000 0.0000
Ni1 0.0000 0.0000 0.5000
Sb1 0.3333 0.6667 0.2698
Sb2 0.6667 0.3333 0.7302

Peak list (10 most intense, 10 to 90 degrees two-theta, by angle)
30.44°, 2.937 Å, I = 100; 42.11°, 2.146 Å, I = 55; 45.02°, 2.014 Å, I = 50; 55.32°, 1.661 Å, I = 18; 57.23°, 1.610 Å, I = 16; 63.34°, 1.468 Å, I = 15; 73.99°, 1.281 Å, I = 15; 81.05°, 1.186 Å, I = 15; 83.08°, 1.163 Å, I = 8; 86.26°, 1.128 Å, I = 12